# 1
Starting from a structure optimized by DFT (PBE), the X-ray powder pattern of CeNiSn was simulated for Cu Kα (λ = 1.5418 Å).
Intensities are scaled so that the largest is 100.

Cell and atoms:
```
data_CeNiSn
_cell_length_a 4.4572
_cell_length_b 4.4572
_cell_length_c 7.7626
_cell_angle_alpha 90.00
_cell_angle_beta 90.00
_cell_angle_gamma 120.00
_space_group_name_H-M_alt 'P 1'
_space_group_IT_number 1
_space_group_name_Hall 'P 1'
loop_
_atom_site_label
_atom_site_type_symbol
_atom_site_fract_x
_atom_site_fract_y
_atom_site_fract_z
Ce1 Ce 0.0000 0.0000 0.0000
Ce2 Ce 0.0000 0.0000 0.5000
Ni1 Ni 0.3333 0.6667 0.2500
Ni2 Ni 0.6667 0.3333 0.7500
Sn1 Sn 0.3333 0.6667 0.7500
Sn2 Sn 0.6667 0.3333 0.2500
```

Largest 10 diffraction maxima, in order of rising 2θ, 2θ from 10° to 80°:
2θ (°)	I_rel
23.04	5
25.78	8
32.72	100
40.48	55
46.81	12
52.99	25
63.57	29
68.74	23
73.62	9
77.87	8

# 2
Starting from a structure optimized by DFT (PBE), the X-ray powder pattern of Li3BiS3 was simulated for Cu Kα (λ = 1.5418 Å).
Intensities are scaled so that the largest is 100.

Cell and atoms:
```
data_Li3BiS3
_cell_length_a 7.7492
_cell_length_b 7.7492
_cell_length_c 7.7492
_cell_angle_alpha 54.80
_cell_angle_beta 54.80
_cell_angle_gamma 54.80
_space_group_name_H-M_alt 'P 1'
_space_group_IT_number 1
_space_group_name_Hall 'P 1'
loop_
_atom_site_label
_atom_site_type_symbol
_atom_site_fract_x
_atom_site_fract_y
_atom_site_fract_z
Li1 Li 0.1314 0.4112 0.8163
Li2 Li 0.1837 0.8686 0.5888
Li3 Li 0.4112 0.8163 0.1314
Li4 Li 0.5888 0.1837 0.8686
Li5 Li 0.8163 0.1314 0.4112
Li6 Li 0.8686 0.5888 0.1837
Bi1 Bi 0.3303 0.3303 0.3303
Bi2 Bi 0.6697 0.6697 0.6697
S1 S 0.0777 0.7266 0.4570
S2 S 0.2734 0.5430 0.9223
S3 S 0.4570 0.0777 0.7266
S4 S 0.5430 0.9223 0.2734
S5 S 0.7266 0.4570 0.0777
S6 S 0.9223 0.2734 0.5430
```

Largest 10 diffraction maxima, in order of rising 2θ, 2θ from 10° to 80°:
2θ (°)	I_rel
13.49	62
15.03	49
16.95	46
24.97	29
28.49	100
37.23	62
43.98	28
46.21	20
48.83	19
53.24	21

# 3
Starting from a structure optimized by DFT (PBE), the X-ray powder pattern of NaBrO2 was simulated for Cu Kα (λ = 1.5418 Å).
Intensities are scaled so that the largest is 100.

Cell and atoms:
```
data_NaBrO2
_cell_length_a 5.6635
_cell_length_b 8.5091
_cell_length_c 7.4052
_cell_angle_alpha 90.00
_cell_angle_beta 105.68
_cell_angle_gamma 90.00
_space_group_name_H-M_alt 'P 1'
_space_group_IT_number 1
_space_group_name_Hall 'P 1'
loop_
_atom_site_label
_atom_site_type_symbol
_atom_site_fract_x
_atom_site_fract_y
_atom_site_fract_z
Na1 Na 0.0638 0.1750 0.0300
Na2 Na 0.0638 0.3250 0.5300
Na3 Na 0.9362 0.6750 0.4700
Na4 Na 0.9362 0.8250 0.9700
Br1 Br 0.4297 0.0079 0.7421
Br2 Br 0.4297 0.4921 0.2421
Br3 Br 0.5703 0.5079 0.7579
Br4 Br 0.5703 0.9921 0.2579
O1 O 0.2408 0.1631 0.7764
O2 O 0.2408 0.3369 0.2764
O3 O 0.2635 0.5643 0.6847
O4 O 0.2635 0.9357 0.1847
O5 O 0.7365 0.0643 0.8153
O6 O 0.7365 0.4357 0.3153
O7 O 0.7592 0.6631 0.7236
O8 O 0.7592 0.8369 0.2236
```

Largest 10 diffraction maxima, in order of rising 2θ, 2θ from 10° to 80°:
2θ (°)	I_rel
16.25	66
20.88	59
24.98	57
25.35	25
25.90	81
26.57	100
32.78	71
33.53	84
39.87	28
50.48	23

# 4
Starting from a structure optimized by DFT (PBE), the X-ray powder pattern of SnSe was simulated for Cu Kα (λ = 1.5418 Å).
Intensities are scaled so that the largest is 100.

Cell and atoms:
```
data_SnSe
_cell_length_a 5.7442
_cell_length_b 13.1330
_cell_length_c 3.0458
_cell_angle_alpha 90.00
_cell_angle_beta 90.00
_cell_angle_gamma 90.00
_space_group_name_H-M_alt 'P 1'
_space_group_IT_number 1
_space_group_name_Hall 'P 1'
loop_
_atom_site_label
_atom_site_type_symbol
_atom_site_fract_x
_atom_site_fract_y
_atom_site_fract_z
Sn1 Sn 0.2500 0.1202 0.0867
Sn2 Sn 0.2500 0.3798 0.0867
Sn3 Sn 0.7500 0.6202 0.9133
Sn4 Sn 0.7500 0.8798 0.9133
Se1 Se 0.2500 0.5892 0.9690
Se2 Se 0.2500 0.9108 0.9690
Se3 Se 0.7500 0.0892 0.0310
Se4 Se 0.7500 0.4108 0.0310
```

Largest 10 diffraction maxima, in order of rising 2θ, 2θ from 10° to 80°:
2θ (°)	I_rel
13.48	32
16.85	33
27.16	100
29.32	94
31.14	99
37.66	29
40.39	56
41.79	64
43.30	66
51.87	54

# 5
Starting from a structure optimized by DFT (PBE), the X-ray powder pattern of LaSO5 was simulated for Cu Kα (λ = 1.5418 Å).
Intensities are scaled so that the largest is 100.

Cell and atoms:
```
data_LaSO5
_cell_length_a 4.6422
_cell_length_b 12.9127
_cell_length_c 7.2153
_cell_angle_alpha 90.00
_cell_angle_beta 111.45
_cell_angle_gamma 90.00
_space_group_name_H-M_alt 'P 1'
_space_group_IT_number 1
_space_group_name_Hall 'P 1'
loop_
_atom_site_label
_atom_site_type_symbol
_atom_site_fract_x
_atom_site_fract_y
_atom_site_fract_z
La1 La 0.1572 0.0702 0.3043
La2 La 0.1572 0.4298 0.8043
La3 La 0.8428 0.5702 0.1957
La4 La 0.8428 0.9298 0.6957
S1 S 0.3937 0.1425 0.8847
S2 S 0.3937 0.3575 0.3847
S3 S 0.6063 0.6425 0.6153
S4 S 0.6063 0.8575 0.1153
O1 O 0.1853 0.0714 0.9440
O2 O 0.1853 0.4286 0.4440
O3 O 0.2336 0.2415 0.8117
O4 O 0.2336 0.2585 0.3117
O5 O 0.2667 0.5667 0.0593
O6 O 0.2667 0.9333 0.5593
O7 O 0.3164 0.6591 0.4465
O8 O 0.3164 0.8409 0.9465
O9 O 0.4559 0.0902 0.7147
O10 O 0.4559 0.4098 0.2147
O11 O 0.5441 0.5902 0.7853
O12 O 0.5441 0.9098 0.2853
O13 O 0.6836 0.1591 0.0535
O14 O 0.6836 0.3409 0.5535
O15 O 0.7333 0.0667 0.4407
O16 O 0.7333 0.4333 0.9407
O17 O 0.7664 0.7415 0.6883
O18 O 0.7664 0.7585 0.1883
O19 O 0.8147 0.5714 0.5560
O20 O 0.8147 0.9286 0.0560
```

Largest 10 diffraction maxima, in order of rising 2θ, 2θ from 10° to 80°:
2θ (°)	I_rel
13.72	100
19.07	54
21.69	52
24.30	56
27.02	74
29.25	95
30.73	61
33.86	31
39.49	45
47.55	40

# 6
Starting from a structure optimized by DFT (PBE), the X-ray powder pattern of BaNa6O4 was simulated for Cu Kα (λ = 1.5418 Å).
Intensities are scaled so that the largest is 100.

Cell and atoms:
```
data_BaNa6O4
_cell_length_a 9.9772
_cell_length_b 9.9772
_cell_length_c 9.9772
_cell_angle_alpha 109.47
_cell_angle_beta 109.47
_cell_angle_gamma 109.47
_space_group_name_H-M_alt 'P 1'
_space_group_IT_number 1
_space_group_name_Hall 'P 1'
loop_
_atom_site_label
_atom_site_type_symbol
_atom_site_fract_x
_atom_site_fract_y
_atom_site_fract_z
Ba1 Ba 0.0000 0.0000 0.7488
Ba2 Ba 0.0000 0.7488 0.0000
Ba3 Ba 0.2512 0.2512 0.2512
Ba4 Ba 0.7488 0.0000 0.0000
Na1 Na 0.0000 0.2206 0.4731
Na2 Na 0.0000 0.4724 0.7199
Na3 Na 0.0000 0.4731 0.2206
Na4 Na 0.0000 0.7199 0.4724
Na5 Na 0.2206 0.0000 0.4731
Na6 Na 0.2206 0.4731 0.0000
Na7 Na 0.2475 0.5276 0.5276
Na8 Na 0.2524 0.7794 0.7794
Na9 Na 0.2801 0.2801 0.7525
Na10 Na 0.2801 0.7525 0.2801
Na11 Na 0.4724 0.0000 0.7199
Na12 Na 0.4724 0.7199 0.0000
Na13 Na 0.4731 0.0000 0.2206
Na14 Na 0.4731 0.2206 0.0000
Na15 Na 0.5269 0.5269 0.7476
Na16 Na 0.5269 0.7476 0.5269
Na17 Na 0.5276 0.2475 0.5276
Na18 Na 0.5276 0.5276 0.2475
Na19 Na 0.7199 0.0000 0.4724
Na20 Na 0.7199 0.4724 0.0000
Na21 Na 0.7476 0.5269 0.5269
Na22 Na 0.7525 0.2801 0.2801
Na23 Na 0.7794 0.2524 0.7794
Na24 Na 0.7794 0.7794 0.2524
O1 O 0.0000 0.0000 0.0000
O2 O 0.0000 0.2451 0.7235
O3 O 0.0000 0.5000 0.5000
O4 O 0.0000 0.7235 0.2451
O5 O 0.2451 0.0000 0.7235
O6 O 0.2451 0.7235 0.0000
O7 O 0.2765 0.2765 0.5216
O8 O 0.2765 0.5216 0.2765
O9 O 0.4784 0.7549 0.7549
O10 O 0.5000 0.0000 0.5000
O11 O 0.5000 0.5000 0.0000
O12 O 0.5216 0.2765 0.2765
O13 O 0.7235 0.0000 0.2451
O14 O 0.7235 0.2451 0.0000
O15 O 0.7549 0.4784 0.7549
O16 O 0.7549 0.7549 0.4784
```

Largest 10 diffraction maxima, in order of rising 2θ, 2θ from 10° to 80°:
2θ (°)	I_rel
10.86	48
18.87	71
26.81	61
29.00	66
31.05	58
36.58	32
39.90	21
44.49	100
52.70	25
58.91	20

# 7
Starting from a structure optimized by DFT (PBE), the X-ray powder pattern of ZrSe4Cl6 was simulated for Cu Kα (λ = 1.5418 Å).
Intensities are scaled so that the largest is 100.

Cell and atoms:
```
data_ZrSe4Cl6
_cell_length_a 11.1140
_cell_length_b 11.1140
_cell_length_c 11.0480
_cell_angle_alpha 90.00
_cell_angle_beta 90.00
_cell_angle_gamma 90.00
_space_group_name_H-M_alt 'P 1'
_space_group_IT_number 1
_space_group_name_Hall 'P 1'
loop_
_atom_site_label
_atom_site_type_symbol
_atom_site_fract_x
_atom_site_fract_y
_atom_site_fract_z
Zr1 Zr 0.0000 0.0000 0.0000
Zr2 Zr 0.0000 0.5000 0.5000
Zr3 Zr 0.5000 0.0000 0.5000
Zr4 Zr 0.5000 0.5000 0.0000
Se1 Se 0.0893 0.0893 0.4194
Se2 Se 0.0893 0.4107 0.9194
Se3 Se 0.1050 0.6050 0.0000
Se4 Se 0.1050 0.8950 0.5000
Se5 Se 0.3950 0.6050 0.5000
Se6 Se 0.3950 0.8950 0.0000
Se7 Se 0.4107 0.0893 0.9194
Se8 Se 0.4107 0.4107 0.4194
Se9 Se 0.5893 0.5893 0.5806
Se10 Se 0.5893 0.9107 0.0806
Se11 Se 0.6050 0.1050 0.0000
Se12 Se 0.6050 0.3950 0.5000
Se13 Se 0.8950 0.1050 0.5000
Se14 Se 0.8950 0.3950 0.0000
Se15 Se 0.9107 0.5893 0.0806
Se16 Se 0.9107 0.9107 0.5806
Cl1 Cl 0.0573 0.6696 0.6399
Cl2 Cl 0.0573 0.8304 0.1399
Cl3 Cl 0.1355 0.1355 0.1106
Cl4 Cl 0.1355 0.3645 0.6106
Cl5 Cl 0.1696 0.5573 0.3601
Cl6 Cl 0.1696 0.9427 0.8601
Cl7 Cl 0.3304 0.5573 0.8601
Cl8 Cl 0.3304 0.9427 0.3601
Cl9 Cl 0.3645 0.1355 0.6106
Cl10 Cl 0.3645 0.3645 0.1106
Cl11 Cl 0.4427 0.6696 0.1399
Cl12 Cl 0.4427 0.8304 0.6399
Cl13 Cl 0.5573 0.1696 0.3601
Cl14 Cl 0.5573 0.3304 0.8601
Cl15 Cl 0.6355 0.6355 0.8894
Cl16 Cl 0.6355 0.8645 0.3894
Cl17 Cl 0.6696 0.0573 0.6399
Cl18 Cl 0.6696 0.4427 0.1399
Cl19 Cl 0.8304 0.0573 0.1399
Cl20 Cl 0.8304 0.4427 0.6399
Cl21 Cl 0.8645 0.6355 0.3894
Cl22 Cl 0.8645 0.8645 0.8894
Cl23 Cl 0.9427 0.1696 0.8601
Cl24 Cl 0.9427 0.3304 0.3601
```

Largest 10 diffraction maxima, in order of rising 2θ, 2θ from 10° to 80°:
2θ (°)	I_rel
16.00	100
19.59	11
22.69	27
24.08	17
30.10	11
30.20	19
33.32	17
35.30	26
42.27	40
48.53	11

# 8
Starting from a structure optimized by DFT (PBE), the X-ray powder pattern of RuC was simulated for Cu Kα (λ = 1.5418 Å).
Intensities are scaled so that the largest is 100.

Cell and atoms:
```
data_RuC
_cell_length_a 3.0561
_cell_length_b 3.0561
_cell_length_c 3.0561
_cell_angle_alpha 60.00
_cell_angle_beta 60.00
_cell_angle_gamma 60.00
_space_group_name_H-M_alt 'P 1'
_space_group_IT_number 1
_space_group_name_Hall 'P 1'
loop_
_atom_site_label
_atom_site_type_symbol
_atom_site_fract_x
_atom_site_fract_y
_atom_site_fract_z
Ru1 Ru 0.0000 0.0000 0.0000
C1 C 0.5000 0.5000 0.5000
```

Largest 5 diffraction maxima, in order of rising 2θ, 2θ from 10° to 80°:
2θ (°)	I_rel
35.99	100
41.80	73
60.60	46
72.54	39
76.33	15

# 9
Starting from a structure optimized by DFT (PBE), the X-ray powder pattern of Li7CuSi2O8 was simulated for Cu Kα (λ = 1.5418 Å).
Intensities are scaled so that the largest is 100.

Cell and atoms:
```
data_Li7CuSi2O8
_cell_length_a 8.3768
_cell_length_b 8.3768
_cell_length_c 7.8116
_cell_angle_alpha 90.61
_cell_angle_beta 90.61
_cell_angle_gamma 44.53
_space_group_name_H-M_alt 'P 1'
_space_group_IT_number 1
_space_group_name_Hall 'P 1'
loop_
_atom_site_label
_atom_site_type_symbol
_atom_site_fract_x
_atom_site_fract_y
_atom_site_fract_z
Li1 Li 0.0000 0.0000 0.0000
Li2 Li 0.0612 0.5697 0.1580
Li3 Li 0.0728 0.0728 0.7042
Li4 Li 0.1726 0.6581 0.6260
Li5 Li 0.3419 0.8274 0.3740
Li6 Li 0.3519 0.3519 0.8533
Li7 Li 0.4303 0.9388 0.8420
Li8 Li 0.5000 0.5000 0.0000
Li9 Li 0.5697 0.0612 0.1580
Li10 Li 0.6481 0.6481 0.1467
Li11 Li 0.6581 0.1726 0.6260
Li12 Li 0.8274 0.3419 0.3740
Li13 Li 0.9272 0.9272 0.2958
Li14 Li 0.9388 0.4303 0.8420
Cu1 Cu 0.2675 0.2675 0.4015
Cu2 Cu 0.7325 0.7325 0.5985
Si1 Si 0.1448 0.1448 0.1494
Si2 Si 0.4273 0.4273 0.2880
Si3 Si 0.5727 0.5727 0.7120
Si4 Si 0.8552 0.8552 0.8506
O1 O 0.0186 0.5904 0.7797
O2 O 0.0484 0.0484 0.2370
O3 O 0.1324 0.1324 0.9400
O4 O 0.1761 0.6049 0.3848
O5 O 0.3835 0.3835 0.0924
O6 O 0.3951 0.8239 0.6152
O7 O 0.4096 0.9814 0.2203
O8 O 0.4678 0.4678 0.7372
O9 O 0.5322 0.5322 0.2628
O10 O 0.5904 0.0186 0.7797
O11 O 0.6049 0.1761 0.3848
O12 O 0.6165 0.6165 0.9076
O13 O 0.8239 0.3951 0.6152
O14 O 0.8676 0.8676 0.0600
O15 O 0.9516 0.9516 0.7630
O16 O 0.9814 0.4096 0.2203
```

Largest 10 diffraction maxima, in order of rising 2θ, 2θ from 10° to 80°:
2θ (°)	I_rel
11.39	23
18.88	100
25.54	14
25.66	14
28.12	21
32.58	15
36.51	17
38.31	16
38.48	30
56.75	18

# 10
Starting from a structure optimized by DFT (PBE), the X-ray powder pattern of Li2FeS2 was simulated for Cu Kα (λ = 1.5418 Å).
Intensities are scaled so that the largest is 100.

Cell and atoms:
```
data_Li2FeS2
_cell_length_a 3.3757
_cell_length_b 8.3890
_cell_length_c 6.2089
_cell_angle_alpha 90.00
_cell_angle_beta 108.40
_cell_angle_gamma 90.00
_space_group_name_H-M_alt 'P 1'
_space_group_IT_number 1
_space_group_name_Hall 'P 1'
loop_
_atom_site_label
_atom_site_type_symbol
_atom_site_fract_x
_atom_site_fract_y
_atom_site_fract_z
Li1 Li 0.1916 0.1515 0.4578
Li2 Li 0.1916 0.3485 0.9578
Li3 Li 0.8084 0.6515 0.0422
Li4 Li 0.8084 0.8485 0.5422
Fe1 Fe 0.5000 0.0000 0.0000
Fe2 Fe 0.5000 0.5000 0.5000
S1 S 0.1312 0.6015 0.7381
S2 S 0.1312 0.8985 0.2381
S3 S 0.8688 0.1015 0.7619
S4 S 0.8688 0.3985 0.2619
```

Largest 10 diffraction maxima, in order of rising 2θ, 2θ from 10° to 80°:
2θ (°)	I_rel
18.40	100
21.18	63
26.08	51
34.24	30
35.54	25
37.51	46
40.61	18
42.47	18
47.29	24
55.60	19